1.
Calculated X-ray diffraction stick pattern of RbTbReO6 for λ = 1.5418 Å (Cu Kα), from DFT lattice parameters and positions (GGA-PBE).
Intensities are scaled so that the largest is 100.

Structural model:
```
data_RbTbReO6
_space_group_name_H-M_alt 'C 1 2 1'
_space_group_IT_number 5
_cell_length_a 5.790
_cell_length_b 10.155
_cell_length_c 5.934
_cell_angle_alpha 90.00
_cell_angle_beta 91.79
_cell_angle_gamma 90.00
loop_
_space_group_symop_operation_xyz
'x,y,z'
'-x,y,-z'
'x+1/2,y+1/2,z'
'-x+1/2,y+1/2,-z'
loop_
_atom_site_label
_atom_site_type_symbol
_atom_site_fract_x
_atom_site_fract_y
_atom_site_fract_z
Rb1 Rb 0.000 0.000 0.000
Tb1 Tb 0.000 0.318 0.500
Re1 Re 0.000 0.679 0.500
O1 O 0.098 0.518 0.345
O2 O 0.161 0.783 0.303
O3 O 0.233 0.190 0.309
```

Most intense lines, 2θ from 15° to 90°, in order of rising 2θ:
hkl 1 1 -1, 2θ 22.87, intensity 67; hkl 0 2 1, 2θ 23.06, intensity 100; hkl 1 1 1, 2θ 23.50, intensity 61; hkl 0 0 2, 2θ 30.14, intensity 35; hkl 1 3 0, 2θ 30.60, intensity 73; hkl 2 0 0, 2θ 30.90, intensity 38; hkl 1 3 -1, 2θ 34.00, intensity 38; hkl 1 3 -2, 2θ 43.12, intensity 47; hkl 1 3 2, 2θ 43.84, intensity 30; hkl 1 5 -1, 2θ 49.86, intensity 27

2.
Calculated X-ray diffraction stick pattern of RbThReO6 for λ = 1.5418 Å (Cu Kα), from DFT lattice parameters and positions (GGA-PBE).
Intensities are scaled so that the largest is 100.

Structural model:
```
data_RbThReO6
_space_group_name_H-M_alt 'I m m a'
_space_group_IT_number 74
_space_group_name_Hall '-I 2b 2'
_cell_length_a 7.648
_cell_length_b 8.072
_cell_length_c 10.581
_cell_angle_alpha 90.00
_cell_angle_beta 90.00
_cell_angle_gamma 90.00
loop_
_atom_site_label
_atom_site_type_symbol
_atom_site_fract_x
_atom_site_fract_y
_atom_site_fract_z
Rb1 Rb 0.000 0.250 0.100
Th1 Th 0.000 0.000 0.500
Re1 Re 0.250 0.250 0.750
O1 O 0.000 0.250 0.413
O2 O 0.000 0.250 0.754
O3 O 0.244 0.085 0.625
```

Most intense lines, 2θ from 15° to 90°, in order of rising 2θ:
hkl 1 2 1, 2θ 26.35, intensity 84; hkl 2 1 1, 2θ 27.14, intensity 64; hkl 0 1 3, 2θ 27.60, intensity 37; hkl 0 2 2, 2θ 27.82, intensity 100; hkl 2 0 2, 2θ 28.81, intensity 78; hkl 2 2 0, 2θ 32.25, intensity 21; hkl 3 2 1, 2θ 42.82, intensity 23; hkl 4 0 0, 2θ 47.50, intensity 74; hkl 2 4 2, 2θ 54.24, intensity 28; hkl 4 2 2, 2θ 55.98, intensity 21

3.
Calculated X-ray diffraction stick pattern of RbTlReO6 for λ = 1.5418 Å (Cu Kα), from DFT lattice parameters and positions (GGA-PBE).
Intensities are scaled so that the largest is 100.

Structural model:
```
data_RbTlReO6
_space_group_name_H-M_alt 'P 1'
_space_group_IT_number 1
_cell_length_a 5.787
_cell_length_b 5.877
_cell_length_c 5.972
_cell_angle_alpha 91.63
_cell_angle_beta 92.31
_cell_angle_gamma 117.25
loop_
_space_group_symop_operation_xyz
'x,y,z'
loop_
_atom_site_label
_atom_site_type_symbol
_atom_site_fract_x
_atom_site_fract_y
_atom_site_fract_z
Rb1 Rb 0.000 0.000 0.000
Tl1 Tl 0.724 0.366 0.492
Re1 Re 0.386 0.728 0.472
O1 O 0.145 0.450 0.314
O2 O 0.167 0.742 0.665
O3 O 0.429 0.962 0.268
O4 O 0.522 0.577 0.692
O5 O 0.676 0.656 0.338
O6 O 0.701 0.053 0.642
```

Most intense lines, 2θ from 15° to 90°, in order of rising 2θ:
hkl 0 1 -1, 2θ 22.04, intensity 41; hkl 1 0 -1, 2θ 22.16, intensity 64; hkl -1 1 1, 2θ 23.22, intensity 100; hkl 1 -1 1, 2θ 23.37, intensity 69; hkl 1 0 1, 2θ 23.54, intensity 37; hkl 1 1 0, 2θ 29.49, intensity 69; hkl 0 0 2, 2θ 29.99, intensity 53; hkl 1 -2 0, 2θ 30.48, intensity 49; hkl 2 -1 0, 2θ 30.95, intensity 55; hkl -2 1 2, 2θ 42.73, intensity 67

Number 1 is which compound? RbTbReO6